The following is a computed powder diffraction line list of FeBrF3. It was derived from the PBE+U geometry in Alexandria, using Cu Ka.

Structure:
Lattice parameters (Å, degrees): 5.5380 4.9377 6.9558 90.00 109.05 90.00
Fractional positions:
1 Fe 0.2266 0.0000 0.4473
2 Fe 0.7734 0.5000 0.5527
3 Br 0.4365 0.8769 0.9671
4 Br 0.5635 0.3769 0.0329
5 F 0.0501 0.2366 0.5814
6 F 0.1099 0.1448 0.1985
7 F 0.4489 0.6967 0.4403
8 F 0.5511 0.1967 0.5597
9 F 0.8901 0.6448 0.8015
10 F 0.9499 0.7366 0.4186

The 8 most intense peaks (2θ from 10° to 90°), sorted by position:
two_theta, d_spacing, intensity, h k l
16.9, 5.235, 404, 1 0 0
24.8, 3.592, 1000, 1 1 0
25.0, 3.567, 625, 1 0 1
25.5, 3.499, 377, 1 1 -1
26.9, 3.313, 726, 1 0 -2
27.1, 3.287, 865, 0 0 2
32.7, 2.736, 371, 0 1 2
39.0, 2.312, 588, 0 2 1